Record 1
# SrMg14W
Calculated X-ray powder pattern, copper Kα. Input: a cell relaxed with PBE.
Intensities are scaled so that the largest is 1000.

```
data_SrMg14W
_cell_length_a 6.4656
_cell_length_b 6.4656
_cell_length_c 10.3119
_cell_angle_alpha 90.00
_cell_angle_beta 90.00
_cell_angle_gamma 120.00
_symmetry_space_group_name_H-M 'P -6 m 2'
_symmetry_Int_Tables_number 187
_symmetry_space_group_name_Hall 'P -6 2'
loop_
_atom_site_label
_atom_site_type_symbol
_atom_site_fract_x
_atom_site_fract_y
_atom_site_fract_z
Sr1 Sr 0.0000 0.0000 0.0000
Mg1 Mg 0.0119 0.5060 0.0000
Mg2 Mg 0.1643 0.3285 0.2732
Mg3 Mg 0.5030 0.0061 0.5000
Mg4 Mg 0.6667 0.3333 0.2421
W1 W 0.0000 0.0000 0.5000
```

Most intense lines, 15 to 90 degrees two-theta, by angle:
- (1 0 0), 15.8°, I 608
- (0 0 2), 17.2°, I 175
- (1 0 1), 18.0°, I 179
- (1 0 2), 23.5°, I 474
- (2 0 0), 32.0°, I 318
- (1 1 2), 32.7°, I 207
- (0 0 4), 34.8°, I 229
- (2 0 2), 36.5°, I 1000
- (2 0 4), 48.0°, I 204
- (2 2 4), 68.5°, I 180


Record 2
# Tm3Sn
Calculated X-ray powder pattern, copper Kα. Input: a cell relaxed with PBE.
Intensities are scaled so that the largest is 1000.

```
data_Tm3Sn
_cell_length_a 4.595
_cell_length_b 4.595
_cell_length_c 10.341
_cell_angle_alpha 90.00
_cell_angle_beta 90.00
_cell_angle_gamma 90.00
_symmetry_space_group_name_H-M 'I 4/m m m'
_symmetry_Int_Tables_number 139
_symmetry_space_group_name_Hall '-I 4 2'
loop_
_atom_site_label
_atom_site_type_symbol
_atom_site_fract_x
_atom_site_fract_y
_atom_site_fract_z
Tm1 Tm 0.000 0.000 0.000
Tm2 Tm 0.000 0.500 0.250
Sn1 Sn 0.000 0.000 0.500
```

Most intense lines, 15 to 90 degrees two-theta, by angle:
- (1 1 2), 32.5°, I 1000
- (0 0 4), 34.7°, I 210
- (2 0 0), 39.2°, I 301
- (2 0 4), 53.3°, I 250
- (2 2 0), 56.7°, I 104
- (1 1 6), 60.8°, I 169
- (3 1 2), 66.9°, I 255
- (2 2 4), 68.2°, I 121
- (2 0 8), 86.4°, I 66
- (3 1 6), 87.9°, I 128


Record 3
# BOsO3
Calculated X-ray powder pattern, copper Kα. Input: a cell relaxed with PBE.
Intensities are scaled so that the largest is 1000.

```
data_BOsO3
_cell_length_a 3.407
_cell_length_b 3.407
_cell_length_c 3.407
_cell_angle_alpha 90.00
_cell_angle_beta 90.00
_cell_angle_gamma 90.00
_symmetry_space_group_name_H-M 'P m -3 m'
_symmetry_Int_Tables_number 221
_symmetry_space_group_name_Hall '-P 4 2 3'
loop_
_atom_site_label
_atom_site_type_symbol
_atom_site_fract_x
_atom_site_fract_y
_atom_site_fract_z
B1 B 0.000 0.000 0.000
Os1 Os 0.500 0.500 0.500
O1 O 0.000 0.000 0.500
```

Most intense lines, 15 to 90 degrees two-theta, by angle:
- (1 0 0), 26.2°, I 1000
- (1 1 0), 37.3°, I 994
- (1 1 1), 46.1°, I 585
- (2 0 0), 53.8°, I 307
- (2 1 0), 60.8°, I 432
- (2 1 1), 67.3°, I 373
- (2 2 0), 79.6°, I 185
- (3 0 0), 85.5°, I 220


Record 4
# RbC2N3
Calculated X-ray powder pattern, copper Kα. Input: a cell relaxed with PBE.
Intensities are scaled so that the largest is 1000.

```
data_RbC2N3
_cell_length_a 8.717
_cell_length_b 6.675
_cell_length_c 7.709
_cell_angle_alpha 90.00
_cell_angle_beta 90.00
_cell_angle_gamma 90.00
_symmetry_space_group_name_H-M 'P b c m'
_symmetry_Int_Tables_number 57
loop_
_symmetry_equiv_pos_as_xyz
'x,y,z'
'-x,-y,-z'
'-x,-y,z+1/2'
'x,y,-z+1/2'
'x,-y+1/2,-z'
'-x,y+1/2,z'
'-x,y+1/2,-z+1/2'
'x,-y+1/2,z+1/2'
loop_
_atom_site_label
_atom_site_type_symbol
_atom_site_fract_x
_atom_site_fract_y
_atom_site_fract_z
Rb1 Rb 0.187 0.250 0.000
C1 C 0.179 0.734 0.250
C2 C 0.428 0.647 0.750
N1 N 0.079 0.614 0.250
N2 N 0.279 0.621 0.750
N3 N 0.437 0.149 0.750
```

Most intense lines, 15 to 90 degrees two-theta, by angle:
- (1 1 0), 16.7°, I 450
- (2 0 0), 20.4°, I 164
- (2 1 0), 24.4°, I 148
- (0 2 0), 26.7°, I 281
- (1 1 2), 28.6°, I 1000
- (3 0 0), 30.8°, I 151
- (2 0 2), 31.0°, I 255
- (2 1 2), 33.8°, I 437
- (0 2 2), 35.6°, I 146
- (3 2 0), 41.2°, I 178


Record 5
# Mn
Calculated X-ray powder pattern, copper Kα. Input: a cell relaxed with PBE.
Intensities are scaled so that the largest is 1000.

```
data_Mn
_cell_length_a 6.028
_cell_length_b 6.028
_cell_length_c 6.028
_cell_angle_alpha 90.00
_cell_angle_beta 90.00
_cell_angle_gamma 90.00
_symmetry_space_group_name_H-M 'P 41 3 2'
_symmetry_Int_Tables_number 213
_symmetry_space_group_name_Hall 'P 4bd 2ab 3'
loop_
_atom_site_label
_atom_site_type_symbol
_atom_site_fract_x
_atom_site_fract_y
_atom_site_fract_z
Mn1 Mn 0.053 0.053 0.053
Mn2 Mn 0.053 0.875 0.697
```

Most intense lines, 15 to 90 degrees two-theta, by angle:
- (2 1 0), 33.2°, I 46
- (2 2 1), 45.1°, I 1000
- (3 1 0), 47.7°, I 551
- (3 1 1), 50.2°, I 365
- (3 2 1), 57.2°, I 73
- (4 1 1), 65.7°, I 65
- (4 3 0), 79.5°, I 40
- (4 3 1), 81.4°, I 257
- (4 3 2), 87.1°, I 183
- (5 2 1), 88.9°, I 74


Record 6
# SnH8N2Cl6
Calculated X-ray powder pattern, copper Kα. Input: a cell relaxed with PBE.
Intensities are scaled so that the largest is 1000.

```
data_SnH8N2Cl6
_cell_length_a 10.330
_cell_length_b 10.330
_cell_length_c 10.330
_cell_angle_alpha 90.00
_cell_angle_beta 90.00
_cell_angle_gamma 90.00
_symmetry_space_group_name_H-M 'F m -3 m'
_symmetry_Int_Tables_number 225
_symmetry_space_group_name_Hall '-F 4 2 3'
loop_
_atom_site_label
_atom_site_type_symbol
_atom_site_fract_x
_atom_site_fract_y
_atom_site_fract_z
Sn1 Sn 0.000 0.000 0.000
H1 H 0.192 0.192 0.192
N1 N 0.250 0.250 0.250
Cl1 Cl 0.000 0.000 0.239
```

Most intense lines, 15 to 90 degrees two-theta, by angle:
- (2 0 0), 17.2°, I 1000
- (2 2 0), 24.4°, I 261
- (3 1 1), 28.7°, I 633
- (2 2 2), 30.0°, I 246
- (4 0 0), 34.7°, I 951
- (4 2 0), 39.0°, I 561
- (5 1 1), 45.6°, I 356
- (4 4 0), 49.9°, I 596
- (5 3 1), 52.4°, I 326
- (6 0 0), 53.2°, I 292


Record 7
# KFeP
Calculated X-ray powder pattern, copper Kα. Input: a cell relaxed with PBE.
Intensities are scaled so that the largest is 1000.

```
data_KFeP
_cell_length_a 6.399
_cell_length_b 6.399
_cell_length_c 6.399
_cell_angle_alpha 90.00
_cell_angle_beta 90.00
_cell_angle_gamma 90.00
_symmetry_space_group_name_H-M 'F -4 3 m'
_symmetry_Int_Tables_number 216
_symmetry_space_group_name_Hall 'F -4 2 3'
loop_
_atom_site_label
_atom_site_type_symbol
_atom_site_fract_x
_atom_site_fract_y
_atom_site_fract_z
K1 K 0.000 0.000 0.000
Fe1 Fe 0.250 0.250 0.250
P1 P 0.000 0.000 0.500
```

Most intense lines, 15 to 90 degrees two-theta, by angle:
- (1 1 1), 24.1°, I 567
- (2 0 0), 27.9°, I 15
- (2 2 0), 39.8°, I 1000
- (3 1 1), 47.1°, I 256
- (4 0 0), 57.6°, I 153
- (3 3 1), 63.4°, I 96
- (4 2 2), 72.3°, I 295
- (5 1 1), 77.5°, I 67
- (4 4 0), 85.9°, I 93


Record 8
# RbH2O2F
Calculated X-ray powder pattern, copper Kα. Input: a cell relaxed with PBE.
Intensities are scaled so that the largest is 1000.

```
data_RbH2O2F
_cell_length_a 12.208
_cell_length_b 12.208
_cell_length_c 4.491
_cell_angle_alpha 90.00
_cell_angle_beta 90.00
_cell_angle_gamma 90.00
_symmetry_space_group_name_H-M 'P -4 21 m'
_symmetry_Int_Tables_number 113
loop_
_symmetry_equiv_pos_as_xyz
'x,y,z'
'y,-x,-z'
'-x,-y,z'
'-y,x,-z'
'x+1/2,-y+1/2,-z'
'y+1/2,x+1/2,z'
'-x+1/2,y+1/2,-z'
'-y+1/2,-x+1/2,z'
loop_
_atom_site_label
_atom_site_type_symbol
_atom_site_fract_x
_atom_site_fract_y
_atom_site_fract_z
Rb1 Rb 0.000 0.000 0.000
Rb2 Rb 0.000 0.500 0.266
Rb3 Rb 0.236 0.264 0.248
H1 H 0.040 0.285 0.728
H2 H 0.070 0.742 0.306
O1 O 0.003 0.788 0.361
O2 O 0.007 0.782 0.689
F1 F 0.114 0.386 0.773
F2 F 0.167 0.667 0.242
```

Most intense lines, 15 to 90 degrees two-theta, by angle:
- (2 2 0), 20.6°, I 605
- (1 1 1), 22.3°, I 453
- (2 2 1), 28.7°, I 317
- (4 0 0), 29.3°, I 899
- (3 1 1), 30.5°, I 1000
- (3 2 1), 33.1°, I 417
- (3 3 1), 37.1°, I 219
- (4 4 0), 41.9°, I 431
- (5 1 1), 42.8°, I 332
- (3 3 2), 51.6°, I 212


Record 9
# CuBiPbS3
Calculated X-ray powder pattern, copper Kα. Input: a cell relaxed with PBE.
Intensities are scaled so that the largest is 1000.

```
data_CuBiPbS3
_cell_length_a 11.851
_cell_length_b 4.065
_cell_length_c 11.335
_cell_angle_alpha 90.00
_cell_angle_beta 90.00
_cell_angle_gamma 90.00
_symmetry_space_group_name_H-M 'P n m a'
_symmetry_Int_Tables_number 62
loop_
_symmetry_equiv_pos_as_xyz
'x,y,z'
'-x,-y,-z'
'-x+1/2,-y,z+1/2'
'x+1/2,y,-z+1/2'
'x+1/2,-y+1/2,-z+1/2'
'-x+1/2,y+1/2,z+1/2'
'-x,y+1/2,-z'
'x,-y+1/2,z'
loop_
_atom_site_label
_atom_site_type_symbol
_atom_site_fract_x
_atom_site_fract_y
_atom_site_fract_z
Cu1 Cu 0.234 0.250 0.208
Bi1 Bi 0.017 0.250 0.683
Pb1 Pb 0.167 0.750 0.989
S1 S 0.047 0.250 0.144
S2 S 0.122 0.750 0.557
S3 S 0.215 0.250 0.799
```

Most intense lines, 15 to 90 degrees two-theta, by angle:
- (2 0 2), 21.7°, I 437
- (3 0 1), 23.9°, I 975
- (1 1 1), 24.4°, I 442
- (1 0 3), 24.7°, I 763
- (2 1 1), 27.8°, I 829
- (1 1 2), 28.0°, I 664
- (2 1 2), 31.0°, I 1000
- (1 1 3), 33.2°, I 646
- (4 0 2), 34.1°, I 610
- (0 2 0), 44.6°, I 467


Copy entry 9 word for word.
# CuBiPbS3
Calculated X-ray powder pattern, copper Kα. Input: a cell relaxed with PBE.
Intensities are scaled so that the largest is 1000.

```
data_CuBiPbS3
_cell_length_a 11.851
_cell_length_b 4.065
_cell_length_c 11.335
_cell_angle_alpha 90.00
_cell_angle_beta 90.00
_cell_angle_gamma 90.00
_symmetry_space_group_name_H-M 'P n m a'
_symmetry_Int_Tables_number 62
loop_
_symmetry_equiv_pos_as_xyz
'x,y,z'
'-x,-y,-z'
'-x+1/2,-y,z+1/2'
'x+1/2,y,-z+1/2'
'x+1/2,-y+1/2,-z+1/2'
'-x+1/2,y+1/2,z+1/2'
'-x,y+1/2,-z'
'x,-y+1/2,z'
loop_
_atom_site_label
_atom_site_type_symbol
_atom_site_fract_x
_atom_site_fract_y
_atom_site_fract_z
Cu1 Cu 0.234 0.250 0.208
Bi1 Bi 0.017 0.250 0.683
Pb1 Pb 0.167 0.750 0.989
S1 S 0.047 0.250 0.144
S2 S 0.122 0.750 0.557
S3 S 0.215 0.250 0.799
```

Most intense lines, 15 to 90 degrees two-theta, by angle:
- (2 0 2), 21.7°, I 437
- (3 0 1), 23.9°, I 975
- (1 1 1), 24.4°, I 442
- (1 0 3), 24.7°, I 763
- (2 1 1), 27.8°, I 829
- (1 1 2), 28.0°, I 664
- (2 1 2), 31.0°, I 1000
- (1 1 3), 33.2°, I 646
- (4 0 2), 34.1°, I 610
- (0 2 0), 44.6°, I 467